No. 1
Diffraction record for Lu2IrRh. The powder XRD pattern is computed, not measured: it uses a PBE-relaxed structure and Cu Kα.
Neutral-atom scattering factors, no anomalous dispersion.

Largest 8 diffraction maxima, by intensity, 10° ≤ 2θ ≤ 80°:
- 2θ 37.82, rel. 100
- 2θ 68.30, rel. 36
- 2θ 54.56, rel. 17
- 2θ 22.90, rel. 4
- 2θ 44.67, rel. 2
- 2θ 59.93, rel. 1
- 2θ 26.50, rel. 1
- 2θ 73.09, rel. 1

Structure:
```
Lu2IrRh
1.0
0.000 3.364 3.364
3.364 0.000 3.364
3.364 3.364 0.000
Lu Ir Rh
2 1 1
Cartesian
1.682 1.682 1.682
5.046 5.046 5.046
0.000 0.000 0.000
3.364 3.364 3.364
```


No. 2
Diffraction record for AuSeBr. The powder XRD pattern is computed, not measured: it uses a PBE-relaxed structure and Cu Kα.
Neutral-atom scattering factors, no anomalous dispersion.

Largest 8 diffraction maxima, by intensity, 10° ≤ 2θ ≤ 80°:
- 2θ 14.26, rel. 100
- 2θ 34.27, rel. 62
- 2θ 31.22, rel. 38
- 2θ 27.63, rel. 36
- 2θ 40.27, rel. 33
- 2θ 54.89, rel. 30
- 2θ 54.21, rel. 27
- 2θ 22.25, rel. 23

Structure:
```
AuSeBr
1.0
7.119 0.000 0.000
0.000 12.422 0.000
0.000 0.000 7.669
Au Se Br
8 8 8
Cartesian
0.620 3.106 1.034
1.180 9.317 1.913
2.379 3.106 5.747
2.939 9.317 4.868
4.179 3.106 2.801
4.739 9.317 1.922
5.938 3.106 5.756
6.498 9.317 6.635
0.599 1.572 6.727
0.599 4.639 6.727
2.960 7.783 2.893
2.960 10.850 2.893
4.158 1.572 4.776
4.158 4.639 4.776
6.520 7.783 0.942
6.520 10.850 0.942
0.624 1.286 2.776
0.624 4.926 2.776
2.936 7.497 6.611
2.936 11.137 6.611
4.183 1.286 1.058
4.183 4.926 1.058
6.495 7.497 4.893
6.495 11.137 4.893
```


No. 3
Diffraction record for SrHg2. The powder XRD pattern is computed, not measured: it uses a PBE-relaxed structure and Cu Kα.
Neutral-atom scattering factors, no anomalous dispersion.

Largest 8 diffraction maxima, by intensity, 10° ≤ 2θ ≤ 80°:
- 2θ 35.44, rel. 100
- 2θ 30.17, rel. 66
- 2θ 34.76, rel. 42
- 2θ 22.36, rel. 32
- 2θ 42.33, rel. 31
- 2θ 30.44, rel. 29
- 2θ 29.08, rel. 23
- 2θ 50.46, rel. 20

Structure:
```
SrHg2
1.0
-2.581 3.975 4.357
2.581 -3.975 4.357
2.581 3.975 -4.357
Sr Hg
2 4
Cartesian
0.000 1.988 0.349
2.581 1.988 4.008
2.581 -0.365 1.446
2.581 3.610 -1.446
0.000 0.365 5.804
0.000 4.340 2.911
```


No. 4
Diffraction record for Zn2Si2AsP3. The powder XRD pattern is computed, not measured: it uses a PBE-relaxed structure and Cu Kα.
Neutral-atom scattering factors, no anomalous dispersion.

Largest 8 diffraction maxima, by intensity, 10° ≤ 2θ ≤ 80°:
- 2θ 28.52, rel. 100
- 2θ 28.41, rel. 92
- 2θ 47.64, rel. 64
- 2θ 46.87, rel. 45
- 2θ 55.80, rel. 38
- 2θ 18.17, rel. 31
- 2θ 47.40, rel. 22
- 2θ 55.60, rel. 14

Structure:
```
Zn2Si2AsP3
1.0
5.982 -2.738 0.000
5.982 2.738 0.000
-2.491 0.000 4.892
Zn Si As P
2 2 1 3
Cartesian
0.605 0.000 1.814
8.868 0.000 3.078
4.167 0.077 0.563
5.306 0.077 4.329
4.737 -1.248 2.446
5.982 1.323 0.000
1.076 -1.324 3.758
8.397 -1.324 1.134
```


Which formula does entry 2 have? AuSeBr


What did the fourth record say?
Diffraction record for Zn2Si2AsP3. The powder XRD pattern is computed, not measured: it uses a PBE-relaxed structure and Cu Kα.
Neutral-atom scattering factors, no anomalous dispersion.

Largest 8 diffraction maxima, by intensity, 10° ≤ 2θ ≤ 80°:
- 2θ 28.52, rel. 100
- 2θ 28.41, rel. 92
- 2θ 47.64, rel. 64
- 2θ 46.87, rel. 45
- 2θ 55.80, rel. 38
- 2θ 18.17, rel. 31
- 2θ 47.40, rel. 22
- 2θ 55.60, rel. 14

Structure:
```
Zn2Si2AsP3
1.0
5.982 -2.738 0.000
5.982 2.738 0.000
-2.491 0.000 4.892
Zn Si As P
2 2 1 3
Cartesian
0.605 0.000 1.814
8.868 0.000 3.078
4.167 0.077 0.563
5.306 0.077 4.329
4.737 -1.248 2.446
5.982 1.323 0.000
1.076 -1.324 3.758
8.397 -1.324 1.134
```